Structure and computed powder diffraction line list of K4La3BiSe8 (the PBE geometry in Alexandria; Cu Kα).
Intensities are scaled so that the largest is 100.

Peak list (6 most intense, 2θ from 5° to 70°, sorted by position)
2θ = 11.50°, I = 47
2θ = 28.00°, I = 100
2θ = 35.97°, I = 17
2θ = 39.12°, I = 35
2θ = 40.89°, I = 37
2θ = 50.29°, I = 19

Structural model:
Cell: 9.2293 9.2293 9.2293 Å, 57.14 57.14 57.14°
Atoms (fractional coordinates):
1 K 0.0000 0.0000 0.0000
2 K 0.0000 0.5000 0.5000
3 K 0.5000 0.0000 0.5000
4 K 0.5000 0.5000 0.0000
5 La 0.0000 0.0000 0.5000
6 La 0.0000 0.5000 0.0000
7 La 0.5000 0.0000 0.0000
8 Bi 0.5000 0.5000 0.5000
9 Se 0.2373 0.2373 0.2373
10 Se 0.2407 0.7356 0.7356
11 Se 0.2644 0.2644 0.7593
12 Se 0.2644 0.7593 0.2644
13 Se 0.7356 0.2407 0.7356
14 Se 0.7356 0.7356 0.2407
15 Se 0.7593 0.2644 0.2644
16 Se 0.7627 0.7627 0.7627